The following is a simulated XRD peak list of Ca10V6O25. It was derived from the PBE+U geometry in the Materials Project, using Cu Kα (λ = 1.5418 Å).
Intensities are scaled so that the largest is 100.

Structural model:
Cell: 10.0600 10.0600 6.9598 Å, 90.00 90.00 120.00°
Fractional positions:
Ca1 0.0000 0.0000 0.0000
Ca2 0.0000 0.0000 0.4862
Ca3 0.3333 0.6667 0.0031
Ca4 0.3333 0.6667 0.5025
Ca5 0.3826 0.3240 0.7490
Ca6 0.4576 0.1068 0.2462
Ca7 0.6492 0.5424 0.2462
Ca8 0.6760 0.0586 0.7490
Ca9 0.8932 0.3508 0.2462
Ca10 0.9414 0.6174 0.7490
V1 0.0236 0.3052 0.7477
V2 0.0771 0.7130 0.2498
V3 0.2815 0.9764 0.7477
V4 0.2870 0.3641 0.2498
V5 0.6359 0.9229 0.2498
V6 0.6948 0.7185 0.7477
O1 0.0056 0.8379 0.2463
O2 0.0099 0.5896 0.4451
O3 0.0196 0.5940 0.0492
O4 0.0778 0.8810 0.7340
O5 0.1190 0.1968 0.7340
O6 0.1569 0.5010 0.7515
O7 0.1621 0.1677 0.2463
O8 0.1929 0.4706 0.2563
O9 0.2778 0.8071 0.2563
O10 0.3338 0.0944 0.9466
O11 0.3440 0.8431 0.7515
O12 0.3605 0.1078 0.5628
O13 0.4060 0.4256 0.0492
O14 0.4104 0.4203 0.4451
O15 0.4990 0.6560 0.7515
O16 0.5294 0.7222 0.2563
O17 0.5744 0.9804 0.0492
O18 0.5797 0.9901 0.4451
O19 0.6667 0.3333 0.2240
O20 0.7472 0.6395 0.5628
O21 0.7606 0.6662 0.9466
O22 0.8032 0.9222 0.7340
O23 0.8323 0.9944 0.2463
O24 0.8922 0.2528 0.5628
O25 0.9056 0.2394 0.9466

Peak list (8 most intense, 15° ≤ 2θ ≤ 90°, by angle)
| 2θ/deg | I/Imax |
| --- | --- |
| 21.80 | 31 |
| 25.60 | 38 |
| 30.02 | 100 |
| 30.79 | 64 |
| 31.26 | 48 |
| 32.94 | 29 |
| 44.44 | 43 |
| 47.97 | 35 |

=====

The following is a simulated XRD peak list of Li9Mn2Co5O16. It was derived from the PBE+U geometry in the Materials Project, using Cu Kα (λ = 1.5418 Å).
Intensities are scaled so that the largest is 100.

Structural model:
Cell: 19.5445 19.5445 5.1407 Å, 92.67 92.67 8.43°
Fractional positions:
Li1 0.0000 0.0000 0.0000
Li2 0.1238 0.1238 0.3730
Li3 0.2547 0.2547 0.7628
Li4 0.3137 0.3137 0.4404
Li5 0.3747 0.3747 0.1164
Li6 0.5000 0.5000 0.4990
Li7 0.6239 0.6239 0.8744
Li8 0.7578 0.7578 0.2773
Li9 0.8731 0.8731 0.6054
Mn1 0.1886 0.1886 0.0676
Mn2 0.8134 0.8134 0.9374
Co1 0.0634 0.0634 0.6878
Co2 0.4380 0.4380 0.8109
Co3 0.5633 0.5633 0.1877
Co4 0.6889 0.6889 0.5674
Co5 0.9378 0.9378 0.3116
O1 0.0349 0.0349 0.3412
O2 0.0928 0.0928 0.0363
O3 0.1619 0.1619 0.7359
O4 0.2150 0.2150 0.3971
O5 0.2856 0.2856 0.0826
O6 0.3405 0.3405 0.7942
O7 0.4090 0.4090 0.4646
O8 0.4673 0.4673 0.1603
O9 0.5348 0.5348 0.8414
O10 0.5933 0.5933 0.5356
O11 0.6600 0.6600 0.1957
O12 0.7165 0.7165 0.9405
O13 0.7835 0.7835 0.6268
O14 0.8422 0.8422 0.2466
O15 0.9098 0.9098 0.9626
O16 0.9674 0.9674 0.6588

Peak list (8 most intense, 15° ≤ 2θ ≤ 90°, by angle)
| 2θ/deg | I/Imax |
| --- | --- |
| 18.23 | 100 |
| 35.48 | 15 |
| 36.35 | 26 |
| 43.10 | 28 |
| 43.78 | 54 |
| 57.43 | 10 |
| 63.04 | 15 |
| 63.19 | 15 |

=====

The following is a simulated XRD peak list of MnV2O4. It was derived from the PBE+U geometry in the Materials Project, using Cu Kα (λ = 1.5418 Å).
Intensities are scaled so that the largest is 100.

Structural model:
Cell: 9.2625 3.0065 10.7096 Å, 90.00 90.00 90.00°
Fractional positions:
Mn1 0.2483 0.2500 0.1495
Mn2 0.2517 0.7500 0.6495
Mn3 0.7483 0.2500 0.3505
Mn4 0.7517 0.7500 0.8505
V1 0.0663 0.2500 0.3822
V2 0.0842 0.2500 0.8959
V3 0.4158 0.7500 0.3959
V4 0.4337 0.7500 0.8822
V5 0.5663 0.2500 0.1178
V6 0.5842 0.2500 0.6041
V7 0.9158 0.7500 0.1041
V8 0.9337 0.7500 0.6178
O1 0.0258 0.7500 0.7835
O2 0.0863 0.2500 0.5724
O3 0.1230 0.7500 0.0272
O4 0.2078 0.7500 0.3245
O5 0.2922 0.2500 0.8245
O6 0.3770 0.2500 0.5272
O7 0.4137 0.7500 0.0724
O8 0.4742 0.2500 0.2835
O9 0.5258 0.7500 0.7165
O10 0.5863 0.2500 0.9276
O11 0.6230 0.7500 0.4728
O12 0.7078 0.7500 0.1755
O13 0.7922 0.2500 0.6755
O14 0.8770 0.2500 0.9728
O15 0.9137 0.7500 0.4276
O16 0.9742 0.2500 0.2165

Peak list (8 most intense, 15° ≤ 2θ ≤ 90°, by angle)
| 2θ/deg | I/Imax |
| --- | --- |
| 33.49 | 100 |
| 35.59 | 50 |
| 40.41 | 28 |
| 42.82 | 15 |
| 49.68 | 36 |
| 59.88 | 19 |
| 61.24 | 29 |
| 72.06 | 19 |

=====

The following is a simulated XRD peak list of MnAlO3. It was derived from the PBE+U geometry in the Materials Project, using Cu Kα (λ = 1.5418 Å).
Intensities are scaled so that the largest is 100.

Structural model:
Cell: 4.8564 4.9720 5.2445 Å, 63.54 88.93 62.30°
Fractional positions:
Mn1 0.1449 0.2147 0.4416
Mn2 0.8551 0.7853 0.5584
Al1 0.3514 0.7996 0.0452
Al2 0.6486 0.2004 0.9548
O1 0.0528 0.9967 0.2446
O2 0.2850 0.2659 0.7605
O3 0.4179 0.3496 0.2192
O4 0.5821 0.6504 0.7808
O5 0.7150 0.7341 0.2395
O6 0.9472 0.0033 0.7554

Peak list (8 most intense, 15° ≤ 2θ ≤ 90°, by angle)
| 2θ/deg | I/Imax |
| --- | --- |
| 24.91 | 45 |
| 32.32 | 100 |
| 33.70 | 76 |
| 34.44 | 58 |
| 35.45 | 74 |
| 36.22 | 46 |
| 39.20 | 61 |
| 42.27 | 44 |

=====

The following is a simulated XRD peak list of MgV2In2O8. It was derived from the PBE+U geometry in the Materials Project, using Cu Kα (λ = 1.5418 Å).
Intensities are scaled so that the largest is 100.

Structural model:
Cell: 5.1595 5.1926 6.3656 Å, 86.67 87.05 75.72°
Fractional positions:
Mg1 0.0000 0.0000 0.0000
V1 0.1967 0.3393 0.2417
V2 0.6794 0.3180 0.5126
In1 0.1689 0.8259 0.5221
In2 0.5935 0.6999 0.9848
O1 0.3500 0.0937 0.0362
O2 0.4164 0.1339 0.4689
O3 0.4407 0.5673 0.2775
O4 0.4785 0.5816 0.7077
O5 0.8635 0.0648 0.7206
O6 0.9268 0.1114 0.2895
O7 0.9530 0.5189 0.4610
O8 0.9981 0.6151 0.0327

Peak list (8 most intense, 15° ≤ 2θ ≤ 90°, by angle)
| 2θ/deg | I/Imax |
| --- | --- |
| 21.80 | 48 |
| 22.03 | 46 |
| 22.21 | 61 |
| 26.79 | 100 |
| 28.10 | 79 |
| 31.42 | 68 |
| 31.56 | 77 |
| 35.89 | 55 |

=====

The following is a simulated XRD peak list of V2Cu3NiO6. It was derived from the PBE+U geometry in the Materials Project, using Cu Kα (λ = 1.5418 Å).
Intensities are scaled so that the largest is 100.

Structural model:
Cell: 7.3927 7.3927 5.2991 Å, 97.11 97.11 75.74°
Fractional positions:
V1 0.1664 0.8336 0.0000
V2 0.3316 0.6684 0.5000
V3 0.6684 0.3316 0.5000
V4 0.8336 0.1664 0.0000
Cu1 0.0806 0.4212 0.7445
Cu2 0.2503 0.2503 0.2521
Cu3 0.4212 0.0806 0.7445
Cu4 0.5788 0.9194 0.2555
Cu5 0.7497 0.7497 0.7479
Cu6 0.9194 0.5788 0.2555
Ni1 0.0000 0.0000 0.5000
Ni2 0.5000 0.5000 0.0000
O1 0.0860 0.7320 0.3058
O2 0.0903 0.0903 0.1919
O3 0.2418 0.5805 0.7894
O4 0.2680 0.9140 0.6942
O5 0.4111 0.4111 0.3188
O6 0.4195 0.7582 0.2106
O7 0.5805 0.2418 0.7894
O8 0.5889 0.5889 0.6812
O9 0.7320 0.0860 0.3058
O10 0.7582 0.4195 0.2106
O11 0.9097 0.9097 0.8081
O12 0.9140 0.2680 0.6942

Peak list (8 most intense, 15° ≤ 2θ ≤ 90°, by angle)
| 2θ/deg | I/Imax |
| --- | --- |
| 31.03 | 45 |
| 35.38 | 51 |
| 35.74 | 100 |
| 40.01 | 19 |
| 40.11 | 38 |
| 55.09 | 30 |
| 60.71 | 25 |
| 64.43 | 20 |

=====

The following is a simulated XRD peak list of Mn12O7F17. It was derived from the PBE+U geometry in the Materials Project, using Cu Kα (λ = 1.5418 Å).
Intensities are scaled so that the largest is 100.

Structural model:
Cell: 4.8070 5.8257 15.8517 Å, 89.63 89.77 87.47°
Fractional positions:
Mn1 0.0000 0.0000 0.0000
Mn2 0.0009 0.6811 0.1794
Mn3 0.0337 0.6840 0.8395
Mn4 0.4333 0.1624 0.1804
Mn5 0.4369 0.4981 0.6677
Mn6 0.4448 0.1874 0.8411
Mn7 0.4701 0.4895 0.3328
Mn8 0.4866 0.4991 0.0022
Mn9 0.4963 0.1859 0.5049
Mn10 0.9730 0.9817 0.6760
Mn11 0.9757 0.9838 0.3438
Mn12 0.9883 0.6864 0.5074
O1 0.1788 0.9370 0.2372
O2 0.1836 0.7127 0.7281
O3 0.2110 0.9611 0.8942
O4 0.2463 0.4517 0.2288
O5 0.2565 0.4475 0.8943
O6 0.2573 0.4600 0.5586
O7 0.7805 0.9552 0.4519
F1 0.2168 0.7194 0.3981
F2 0.2232 0.7370 0.0631
F3 0.2262 0.9518 0.5642
F4 0.2281 0.2163 0.7251
F5 0.2563 0.2155 0.3939
F6 0.2565 0.2287 0.0626
F7 0.6672 0.4349 0.7756
F8 0.7089 0.2300 0.6201
F9 0.7153 0.2131 0.2841
F10 0.7162 0.4577 0.4403
F11 0.7198 0.2217 0.9510
F12 0.7210 0.9508 0.7896
F13 0.7331 0.4725 0.1169
F14 0.7338 0.7297 0.2873
F15 0.7431 0.7273 0.6137
F16 0.7511 0.9535 0.1158
F17 0.7809 0.7131 0.9443

Peak list (8 most intense, 15° ≤ 2θ ≤ 90°, by angle)
| 2θ/deg | I/Imax |
| --- | --- |
| 23.49 | 60 |
| 24.55 | 49 |
| 28.91 | 49 |
| 29.11 | 56 |
| 29.88 | 100 |
| 51.32 | 24 |
| 51.55 | 39 |
| 53.42 | 36 |